# 1
Structure and calculated XRD peak list of Pr2SmHo4Th (a DFT-relaxed cell (GGA-PBE, Alexandria); Cu Kα (weighted mean of Kα1 and Kα2)).
Neutral-atom scattering factors, no anomalous dispersion.

Structure:
abc: 5.1222 5.1222 9.9828
angles: 90.00 90.00 90.00
Space group P4/mmm (No. 123)
One atom of each set of equivalent atoms:
Pr: 0.0000 0.0000 0.0000 (multiplicity 1)
Pr: 0.5000 0.5000 0.5000 (multiplicity 1)
Sm: 0.0000 0.0000 0.5000 (multiplicity 1)
Ho: 0.0000 0.5000 0.2454 (multiplicity 4)
Th: 0.5000 0.5000 0.0000 (multiplicity 1)

Largest 8 diffraction maxima, low angle first, 2θ = 10–90°:
- d 2.931, I = 1000
- d 2.561, I = 347
- d 2.496, I = 160
- d 1.811, I = 125
- d 1.787, I = 238
- d 1.541, I = 295
- d 1.512, I = 137
- d 1.466, I = 124

# 2
Structure and calculated XRD peak list of PrSm3HoTh (a DFT-relaxed cell (GGA-PBE, Alexandria); Cu Kα (weighted mean of Kα1 and Kα2)).
Neutral-atom scattering factors, no anomalous dispersion.

Structure:
abc: 8.0971 5.1188 10.2456
angles: 90.00 108.63 90.00
Space group P2_1/m (No. 11)
One atom of each set of equivalent atoms:
Pr: 0.1702 0.2500 0.2923 (multiplicity 2)
Sm: 0.1723 0.7500 0.5446 (multiplicity 2)
Sm: 0.1784 0.7500 0.0439 (multiplicity 2)
Sm: 0.1792 0.2500 0.7947 (multiplicity 2)
Ho: 0.4997 0.2500 0.6282 (multiplicity 2)
Th: 0.4990 0.7500 0.8783 (multiplicity 2)

Largest 8 diffraction maxima, low angle first, 2θ = 10–90°:
- d 2.955, I = 1000
- d 2.559, I = 507
- d 1.811, I = 182
- d 1.808, I = 180
- d 1.545, I = 216
- d 1.542, I = 215
- d 1.479, I = 62
- d 1.145, I = 83

Number 2 is which compound? PrSm3HoTh